[1]
For Na3PrBr6, a GGA-PBE-relaxed structure gives the simulated powder diffraction line list in this record (Cu Kα).
Intensities are scaled so that the largest is 100.

Structural model:
abc: 8.069 8.069 8.069
angles: 55.62 55.62 55.62
Fractional positions:
Na: 0.000 0.000 0.000
Na: 0.198 0.198 0.198
Na: 0.495 0.495 0.495
Pr: 0.692 0.692 0.692
Br: 0.083 0.416 0.794
Br: 0.296 0.900 0.601
Br: 0.416 0.794 0.083
Br: 0.601 0.296 0.900
Br: 0.794 0.083 0.416
Br: 0.900 0.601 0.296

Top 10 peaks for 2θ = 10–90°, by intensity:
2θ/deg, d (Å), I_rel
27.08, 3.293, 100
35.59, 2.523, 48
41.56, 2.173, 38
16.14, 5.493, 28
46.79, 1.941, 22
14.26, 6.210, 21
50.30, 1.814, 14
32.60, 2.746, 12
55.84, 1.647, 12
70.32, 1.339, 11



[2]
For NaPt2Br8, a GGA-PBE-relaxed structure gives the simulated powder diffraction line list in this record (Cu Kα).
Intensities are scaled so that the largest is 100.

Structural model:
abc: 6.995 6.995 8.281
angles: 108.10 108.10 81.70
Fractional positions:
Na: 0.000 0.000 0.000
Pt: 0.148 0.148 0.609
Pt: 0.852 0.852 0.391
Br: 0.098 0.723 0.223
Br: 0.246 0.246 0.392
Br: 0.277 0.902 0.777
Br: 0.404 0.404 0.829
Br: 0.596 0.596 0.171
Br: 0.723 0.098 0.223
Br: 0.754 0.754 0.608
Br: 0.902 0.277 0.777

Top 10 peaks for 2θ = 10–90°, by intensity:
2θ/deg, d (Å), I_rel
15.08, 5.877, 100
35.92, 2.500, 38
19.40, 4.575, 37
13.34, 6.639, 35
25.68, 3.470, 34
30.42, 2.938, 33
11.72, 7.550, 31
22.73, 3.913, 26
36.57, 2.457, 21
38.29, 2.351, 20